[1]
AlAg7: simulated powder X-ray diffraction pattern (a wavelength of 1.5418 Å), based on the GGA-PBE geometry in Alexandria.
Intensities are scaled so that the largest is 100.

Unit cell a=7.9995 b=11.9775 c=2.9379 alpha=90.00 beta=90.00 gamma=90.00
Space group Cmmm (No. 65)
Unique sites:
Al 0.0000 0.0000 0.0000
Ag 0.0000 0.2587 0.0000
Ag 0.0000 0.5000 0.0000
Ag 0.2357 0.1220 0.5000

Largest 10 diffraction maxima, low angle first, 2θ = 10–90°:
two_theta  Rel. int.  hkl
37.52  100.0  2 4 0
38.00  98.0  2 0 1
43.14  67.7  0 4 1
45.35  28.2  4 0 0
61.98  10.4  0 8 0
63.31  10.4  0 0 2
64.37  36.0  4 4 1
75.07  22.9  2 8 1
75.98  23.2  2 4 2
80.06  10.7  4 8 0



[2]
AlAg7: simulated powder X-ray diffraction pattern (a wavelength of 1.5418 Å), based on the GGA-PBE geometry in Alexandria.
Intensities are scaled so that the largest is 100.

Unit cell a=5.8015 b=8.2161 c=6.5445 alpha=90.00 beta=115.69 gamma=90.00
Space group C2/m (No. 12)
Unique sites:
Al 0.0000 0.0000 0.0000
Ag 0.0000 0.5000 0.0000
Ag 0.1260 0.2494 0.7542
Ag 0.2450 0.0000 0.4894

Largest 10 diffraction maxima, low angle first, 2θ = 10–90°:
two_theta  Rel. int.  hkl
37.54  100.0  0 2 2
37.97  97.4  2 2 -1
43.53  32.4  2 0 1
44.06  62.7  0 4 0
63.68  20.1  2 4 1
64.07  19.3  2 4 -3
75.67  11.6  2 2 3
76.43  22.8  4 2 0
76.74  11.3  0 6 2
77.01  11.3  2 6 -1



[3]
Al2Ag13: simulated powder X-ray diffraction pattern (a wavelength of 1.5418 Å), based on the GGA-PBE geometry in Alexandria.
Intensities are scaled so that the largest is 100.

Unit cell a=5.0162 b=7.1521 c=7.7702 alpha=108.03 beta=95.85 gamma=90.73
Space group P-1 (No. 2)
Unique sites:
Al 0.0697 0.1385 0.3948
Ag 0.0000 0.0000 0.0000
Ag 0.1354 0.2521 0.7871
Ag 0.1986 0.3975 0.1980
Ag 0.2624 0.5247 0.5980
Ag 0.3326 0.6637 0.0029
Ag 0.3852 0.8048 0.4087
Ag 0.4687 0.9292 0.7982

Largest 10 diffraction maxima, low angle first, 2θ = 10–90°:
two_theta  Rel. int.  hkl
37.73  100.0  1 1 2
37.87  33.1  2 -1 0
43.53  22.3  1 -2 3
43.75  21.2  -1 2 2
44.38  20.7  2 2 -1
64.02  13.1  3 0 2
64.15  6.8  3 0 -3
76.07  7.8  2 -1 5
76.29  11.2  3 -3 3
77.22  7.4  2 5 -2



[4]
Al5Ag4: simulated powder X-ray diffraction pattern (a wavelength of 1.5418 Å), based on the GGA-PBE geometry in Alexandria.
Intensities are scaled so that the largest is 100.

Unit cell a=9.5837 b=3.9921 c=8.3743 alpha=90.00 beta=107.48 gamma=90.00
Space group Cm (No. 8)
Unique sites:
Al 0.0000 0.0000 0.0000
Al 0.0114 0.0000 0.3383
Al 0.1727 0.5000 0.2330
Al 0.1847 0.5000 0.5670
Al 0.3467 0.0000 0.4534
Ag 0.0114 0.0000 0.6591
Ag 0.1708 0.5000 0.9055
Ag 0.3423 0.0000 0.7814
Ag 0.3447 0.0000 0.1325

Largest 10 diffraction maxima, low angle first, 2θ = 10–90°:
two_theta  Rel. int.  hkl
11.08  69.6  0 0 1
19.26  15.8  2 0 -1
31.10  25.7  1 1 -2
37.12  100.0  3 1 0
39.39  82.7  1 1 -3
43.77  30.7  4 0 -3
44.21  29.2  2 0 3
45.44  30.1  0 2 0
64.92  18.6  4 2 -3
65.27  17.3  2 2 3